Record 1
Fe2Ni3H4Se6O20: computed X-ray powder pattern (Cu Kα X-rays), based on the GGA+U geometry in the Materials Project.
No peak broadening, texture or thermal motion is included.

Crystal structure
```
Fe2Ni3H4Se6O20
1.0
6.5345 0.0000 0.0000
1.8843 7.8475 0.0000
1.8046 0.3147 8.7552
Fe Ni H Se O
2 3 4 6 20
Direct
0.1353 0.3973 0.1188 Fe
0.8647 0.6027 0.8812 Fe
0.3094 0.6751 0.2654 Ni
0.5000 0.0000 0.0000 Ni
0.6906 0.3249 0.7346 Ni
0.1296 0.6346 0.5576 H
0.3142 0.4661 0.5355 H
0.6858 0.5339 0.4645 H
0.8704 0.3654 0.4424 H
0.2031 0.2138 0.7752 Se
0.2364 0.0740 0.3690 Se
0.3321 0.7111 0.8705 Se
0.6679 0.2889 0.1295 Se
0.7636 0.9260 0.6310 Se
0.7969 0.7862 0.2248 Se
0.0229 0.6196 0.2328 O
0.0589 0.2465 0.2957 O
0.1333 0.9052 0.3482 O
0.1693 0.5611 0.9291 O
0.2331 0.2024 0.9695 O
0.2479 0.5702 0.4822 O
0.3299 0.7992 0.0397 O
0.4006 0.3106 0.6824 O
0.4156 0.4307 0.1635 O
0.4590 0.0553 0.2228 O
0.5410 0.9447 0.7772 O
0.5844 0.5693 0.8365 O
0.5994 0.6894 0.3176 O
0.6701 0.2008 0.9603 O
0.7521 0.4298 0.5178 O
0.7669 0.7976 0.0305 O
0.8307 0.4389 0.0709 O
0.8667 0.0948 0.6518 O
0.9411 0.7535 0.7043 O
0.9771 0.3804 0.7672 O
```

Largest 10 diffraction maxima, low angle first, 10° ≤ 2θ ≤ 90°:
- 2θ 10.1, I 87, (0 0 1)
- 2θ 15.4, I 28, (0 1 -1)
- 2θ 20.3, I 26, (0 0 2)
- 2θ 27.0, I 27, (1 0 -2)
- 2θ 28.3, I 40, (2 1 0)
- 2θ 28.6, I 30, (2 0 0)
- 2θ 30.0, I 68, (0 2 2)
- 2θ 30.6, I 29, (1 -2 1)
- 2θ 33.2, I 100, (0 1 -3)
- 2θ 53.2, I 34, (0 1 5)

=====

Record 2
FeHO2: computed X-ray powder pattern (Cu Kα X-rays), based on the GGA+U geometry in the Materials Project.
No peak broadening, texture or thermal motion is included.

Crystal structure
```
FeHO2
1.0
3.0933 0.0000 0.0000
1.4959 7.2551 0.0000
1.5245 -0.1927 7.7282
Fe H O
4 4 8
Direct
0.0000 0.0000 0.0000 Fe
0.1859 0.3447 0.2703 Fe
0.5230 0.3183 0.6143 Fe
0.7334 0.5931 0.9366 Fe
0.1600 0.0535 0.4311 H
0.2670 0.7640 0.7035 H
0.4173 0.2451 0.9299 H
0.4993 0.7964 0.2202 H
0.1381 0.1594 0.5057 O
0.2040 0.7636 0.8292 O
0.2229 0.4911 0.0585 O
0.5028 0.1218 0.8710 O
0.5321 0.8361 0.1010 O
0.5593 0.4614 0.4036 O
0.8161 0.1770 0.1829 O
0.9116 0.4275 0.7355 O
```

Largest 10 diffraction maxima, low angle first, 10° ≤ 2θ ≤ 90°:
- 2θ 11.5, I 75, (0 0 1)
- 2θ 12.2, I 100, (0 1 0)
- 2θ 16.6, I 73, (0 1 -1)
- 2θ 17.0, I 37, (0 1 1)
- 2θ 25.9, I 28, (0 1 -2)
- 2θ 27.4, I 35, (0 2 1)
- 2θ 34.3, I 59, (0 2 2)
- 2θ 34.8, I 31, (1 -1 1)
- 2θ 34.9, I 28, (1 2 0)
- 2θ 45.2, I 20, (1 2 -2)

=====

Record 3
FeHO2: computed X-ray powder pattern (Cu Kα X-rays), based on the GGA+U geometry in the Materials Project.
No peak broadening, texture or thermal motion is included.

Crystal structure
```
FeHO2
1.0
3.1325 0.0000 0.0000
0.0217 3.9477 0.0000
1.4742 -0.0014 6.5775
Fe H O
2 2 4
Direct
0.1851 0.2501 0.1373 Fe
0.8149 0.7499 0.8627 Fe
0.4763 0.7499 0.5201 H
0.5237 0.2501 0.4799 H
0.2176 0.7500 0.0687 O
0.4063 0.7498 0.6684 O
0.5937 0.2502 0.3316 O
0.7824 0.2500 0.9313 O
```

Largest 10 diffraction maxima, low angle first, 10° ≤ 2θ ≤ 90°:
- 2θ 13.5, I 100, (0 0 1)
- 2θ 26.3, I 58, (0 1 1)
- 2θ 35.0, I 21, (1 0 -1)
- 2θ 35.5, I 31, (1 0 2)
- 2θ 44.7, I 14, (1 0 -2)
- 2θ 45.3, I 12, (1 0 3)
- 2θ 46.0, I 18, (0 2 0)
- 2θ 48.1, I 7, (0 2 -1)
- 2θ 59.0, I 11, (2 0 1)
- 2θ 59.2, I 8, (1 2 2)

=====

Record 4
FeHO2: computed X-ray powder pattern (Cu Kα X-rays), based on the GGA+U geometry in the Materials Project.
No peak broadening, texture or thermal motion is included.

Crystal structure
```
FeHO2
1.0
9.9778 0.0000 0.0000
0.0000 4.9151 0.0000
0.0000 0.0000 3.1486
Fe H O
4 4 8
Direct
0.1537 0.0295 0.0000 Fe
0.3463 0.5295 0.5000 Fe
0.6537 0.4705 0.0000 Fe
0.8463 0.9705 0.5000 Fe
0.0247 0.6220 0.2486 H
0.4753 0.1220 0.7486 H
0.5247 0.8780 0.2486 H
0.9753 0.3780 0.7486 H
0.0327 0.7936 0.4053 O
0.2159 0.2288 0.4920 O
0.2841 0.7288 0.9920 O
0.4673 0.2936 0.9053 O
0.5327 0.7064 0.4053 O
0.7159 0.2712 0.4920 O
0.7841 0.7712 0.9920 O
0.9673 0.2064 0.9053 O
```

Largest 10 diffraction maxima, low angle first, 10° ≤ 2θ ≤ 90°:
- 2θ 17.8, I 17, (2 0 0)
- 2θ 20.1, I 100, (1 1 0)
- 2θ 32.5, I 64, (3 1 0)
- 2θ 33.7, I 36, (2 0 1)
- 2θ 35.0, I 70, (1 1 1)
- 2θ 38.5, I 16, (2 1 1)
- 2θ 50.5, I 43, (2 2 1)
- 2θ 52.3, I 18, (4 2 0)
- 2θ 57.8, I 27, (5 1 1)
- 2θ 63.3, I 15, (3 3 0)